(1)
Diffraction record for Ti3CuSn2P6O24. The X-ray powder pattern is computed, not measured: it uses DFT lattice parameters and positions (GGA-PBE) and λ = 1.5418 Å (Cu Kα).
Lines closer than 0.1° are merged.

Largest 8 diffraction maxima, in order of falling intensity, 2θ = 10–90°:
2θ/deg  I (rel.)
20.52  100
31.57  100
23.74  70
48.58  41
35.95  37
61.89  32
25.05  28
56.24  27

```
36
Lattice="4.3272 2.4983 7.4995 -4.3272 2.4983 7.4995 0.0000 -4.9967 7.4995" Properties=species:S:1:pos:R:3 pbc="T T T"
Ti 0.0000 0.0000 0.0000
Ti 0.0000 0.0000 4.6781
Ti 0.0000 0.0000 11.3853
Cu 0.0000 0.0000 15.8373
Sn 0.0000 0.0000 8.0345
Sn 0.0000 0.0000 18.9777
P -3.0715 0.3604 9.8757
P -1.2512 -2.1693 13.6649
P 1.2236 -2.8402 9.8757
P -1.2531 2.1683 13.6649
P 1.8479 2.4798 9.8757
P 2.5043 0.0011 13.6649
O -3.4051 1.1564 8.5941
O -0.8849 -1.2642 5.9625
O -2.8002 -2.3208 13.7295
O -3.5551 1.0970 11.1468
O 0.7011 -3.5271 8.5941
O -0.6524 1.3985 5.9625
O -1.5152 0.2282 9.9649
O 0.8275 -3.6273 11.1469
O -0.9303 -1.3275 12.3726
O 0.5599 -1.4263 9.9649
O 1.5373 -0.1343 5.9625
O -0.7034 -1.6025 14.9380
O -0.6845 1.4694 12.3726
O -1.5759 -0.2140 17.3613
O 0.9552 1.1981 9.9649
O -1.0361 1.4104 14.9380
O 1.6148 -0.1419 12.3726
O -0.6098 3.5854 13.7295
O 0.9733 -1.2578 17.3613
O 2.7040 2.3708 8.5941
O 1.7395 0.1921 14.9380
O 3.4100 -1.2646 13.7295
O 0.6026 1.4718 17.3613
O 2.7276 2.5303 11.1468
```

(2)
Diffraction record for K3Mn. The X-ray powder pattern is computed, not measured: it uses DFT lattice parameters and positions (GGA-PBE) and λ = 1.5418 Å (Cu Kα).
Lines closer than 0.1° are merged.

Largest 8 diffraction maxima, in order of falling intensity, 2θ = 10–90°:
2θ/deg  I (rel.)
26.93  100
31.19  50
52.95  38
44.69  33
71.73  14
73.90  13
55.50  11
88.60  10

```
4
Lattice="5.7354 0.0000 0.0000 0.0000 5.7354 0.0000 0.0000 0.0000 5.7354" Properties=species:S:1:pos:R:3 pbc="T T T"
K 0.0000 0.0000 2.8677
K 0.0000 2.8677 0.0000
K 2.8677 0.0000 0.0000
Mn 2.8677 2.8677 2.8677
```

(3)
Diffraction record for AsCSCl2F9. The X-ray powder pattern is computed, not measured: it uses DFT lattice parameters and positions (GGA-PBE) and λ = 1.5418 Å (Cu Kα).
Lines closer than 0.1° are merged.

Largest 8 diffraction maxima, in order of falling intensity, 2θ = 10–90°:
2θ/deg  I (rel.)
22.17  100
18.34  65
16.70  58
24.88  55
26.50  48
23.03  41
30.02  31
20.16  28

```
56
Lattice="7.8668 0.0000 0.0000 0.0000 9.6758 0.0000 -2.3631 0.0000 12.2327" Properties=species:S:1:pos:R:3 pbc="T T T"
As 1.3640 2.3721 0.8604
As 0.1825 2.4658 6.9768
As 5.3212 7.2100 5.2559
As 4.1397 7.3036 11.3723
C 2.7012 6.4775 1.4415
C 1.5196 8.0362 7.5578
C 3.9840 1.6396 4.6748
C 2.8025 3.1983 10.7912
S 0.8992 6.4998 2.3770
S -0.2823 8.0139 8.4933
S 5.7860 1.6619 3.7394
S 4.6045 3.1760 9.8557
Cl -0.3085 6.1332 9.0918
Cl 0.8730 8.3804 2.9755
Cl 1.3118 5.4432 3.9990
Cl 0.1302 9.0705 10.1153
Cl 5.3734 0.6053 2.1173
Cl 4.1919 4.2326 8.2337
Cl 4.6307 1.2953 9.2572
Cl 5.8122 3.5425 3.1409
F -1.0370 6.7366 6.0930
F -2.2186 7.7770 12.2094
F -0.5623 0.8827 7.3528
F 0.6192 3.9552 1.2365
F 0.6975 1.7211 2.3763
F -0.4840 3.1168 8.4927
F 0.7985 1.8156 5.4534
F -0.3830 3.0223 11.5698
F 2.0891 0.7973 0.4996
F 0.9076 4.0406 6.6160
F 2.4620 5.9342 0.2529
F 1.2804 8.5794 6.3693
F 1.6566 1.9595 7.8172
F 2.8382 2.8784 1.7008
F 1.9423 6.7855 7.4372
F 3.1238 7.7282 1.3209
F 3.1473 0.9038 3.9631
F 1.9658 3.9341 10.0794
F 3.5379 5.7417 2.1533
F 2.3564 8.7719 8.2696
F 2.3798 1.9476 10.9118
F 3.5614 2.8903 4.7955
F 2.6655 6.7974 10.5318
F 3.8471 7.7162 4.4155
F 4.2232 1.0964 5.8634
F 3.0417 3.7415 11.9797
F 4.5961 5.6351 5.6167
F 3.4146 8.8785 11.7330
F 5.8867 6.6535 0.6629
F 4.7051 7.8602 6.7792
F 5.9877 6.5590 3.7400
F 4.8062 7.9547 9.8564
F 4.8844 5.7206 10.9962
F 6.0660 8.7931 4.8799
F 7.7222 1.8988 0.0233
F 6.5407 2.9391 6.1397
```

(4)
Diffraction record for Er3Ni7B2. The X-ray powder pattern is computed, not measured: it uses DFT lattice parameters and positions (GGA-PBE) and λ = 1.5418 Å (Cu Kα).
Lines closer than 0.1° are merged.

Largest 8 diffraction maxima, in order of falling intensity, 2θ = 10–90°:
2θ/deg  I (rel.)
37.68  100
44.00  90
41.87  67
35.62  48
65.34  40
73.93  29
37.86  27
75.43  24

```
24
Lattice="5.0410 0.0000 0.0000 -2.5205 4.3656 0.0000 0.0000 0.0000 14.2553" Properties=species:S:1:pos:R:3 pbc="T T T"
Er 0.0000 2.9104 0.4615
Er 0.0000 2.9104 3.5638
Er 0.0000 2.9104 6.6661
Er 2.5205 1.4552 7.5892
Er 2.5205 1.4552 10.6915
Er 2.5205 1.4552 13.7938
Ni 0.0000 0.0000 0.0000
Ni 0.0000 0.0000 7.1277
Ni 0.0000 1.4469 9.2453
Ni 0.0000 1.4469 12.1377
Ni -1.2675 3.6422 9.2453
Ni -1.2675 3.6422 12.1377
Ni 1.2530 0.7234 2.1176
Ni 1.2530 0.7234 5.0100
Ni 1.2675 3.6422 9.2453
Ni 1.2675 3.6422 12.1377
Ni 3.7880 0.7234 2.1176
Ni 3.7880 0.7234 5.0100
Ni 2.5205 2.9188 2.1176
Ni 2.5205 2.9188 5.0100
B 0.0000 0.0000 3.5638
B 0.0000 0.0000 10.6915
B 0.0000 2.9104 10.6915
B 2.5205 1.4552 3.5638
```

Copy entry 4 word for word.
Diffraction record for Er3Ni7B2. The X-ray powder pattern is computed, not measured: it uses DFT lattice parameters and positions (GGA-PBE) and λ = 1.5418 Å (Cu Kα).
Lines closer than 0.1° are merged.

Largest 8 diffraction maxima, in order of falling intensity, 2θ = 10–90°:
2θ/deg  I (rel.)
37.68  100
44.00  90
41.87  67
35.62  48
65.34  40
73.93  29
37.86  27
75.43  24

```
24
Lattice="5.0410 0.0000 0.0000 -2.5205 4.3656 0.0000 0.0000 0.0000 14.2553" Properties=species:S:1:pos:R:3 pbc="T T T"
Er 0.0000 2.9104 0.4615
Er 0.0000 2.9104 3.5638
Er 0.0000 2.9104 6.6661
Er 2.5205 1.4552 7.5892
Er 2.5205 1.4552 10.6915
Er 2.5205 1.4552 13.7938
Ni 0.0000 0.0000 0.0000
Ni 0.0000 0.0000 7.1277
Ni 0.0000 1.4469 9.2453
Ni 0.0000 1.4469 12.1377
Ni -1.2675 3.6422 9.2453
Ni -1.2675 3.6422 12.1377
Ni 1.2530 0.7234 2.1176
Ni 1.2530 0.7234 5.0100
Ni 1.2675 3.6422 9.2453
Ni 1.2675 3.6422 12.1377
Ni 3.7880 0.7234 2.1176
Ni 3.7880 0.7234 5.0100
Ni 2.5205 2.9188 2.1176
Ni 2.5205 2.9188 5.0100
B 0.0000 0.0000 3.5638
B 0.0000 0.0000 10.6915
B 0.0000 2.9104 10.6915
B 2.5205 1.4552 3.5638
```